This entry pairs a crystal structure of In3Pt5 with its computed X-ray diffraction stick pattern. Radiation: Cu Kα. Structure: a DFT-relaxed cell (GGA-PBE, Alexandria).
Kinematic intensities with the Lorentz-polarization factor, no thermal factor.

Crystal structure
```
In3Pt5
1.0
4.1184 0.0000 0.0000
-2.0592 3.5666 0.0000
0.0000 0.0000 11.0576
In Pt
3 5
Direct
0.0000 0.0000 0.0000
0.6667 0.3333 0.2649
0.6667 0.3333 0.7351
0.0000 0.0000 0.5000
0.3333 0.6667 0.1271
0.3333 0.6667 0.3793
0.3333 0.6667 0.6207
0.3333 0.6667 0.8729
```

The 10 most intense peaks (5 to 70 degrees two-theta), in order of falling intensity:
2θ/deg, I/Imax
41.32, 100
43.97, 68
29.81, 50
24.97, 43
61.92, 31
54.03, 9
8.00, 8
56.18, 8
51.23, 6
67.80, 6

This entry pairs a crystal structure of In3Pt5 with its computed X-ray diffraction stick pattern. Radiation: Cu Kα. Structure: a DFT-relaxed cell (GGA-PBE, Alexandria).
Kinematic intensities with the Lorentz-polarization factor, no thermal factor.

Crystal structure
```
In3Pt5
1.0
7.8541 0.0000 0.0000
-3.9270 6.8018 0.0000
0.0000 0.0000 5.4306
In Pt
6 10
Direct
0.0000 0.3986 0.2500
0.0000 0.6014 0.7500
0.3986 0.0000 0.2500
0.3986 0.3986 0.7500
0.6014 0.0000 0.7500
0.6014 0.6014 0.2500
0.0000 0.2105 0.7500
0.0000 0.7895 0.2500
0.2105 0.0000 0.7500
0.2105 0.2105 0.2500
0.3333 0.6667 0.0000
0.3333 0.6667 0.5000
0.6667 0.3333 0.0000
0.6667 0.3333 0.5000
0.7895 0.0000 0.2500
0.7895 0.7895 0.7500
```

The 10 most intense peaks (5 to 70 degrees two-theta), in order of falling intensity:
2θ/deg, I/Imax
38.75, 100
40.39, 51
34.90, 44
35.60, 32
62.78, 24
57.96, 20
49.35, 19
39.76, 19
62.58, 16
32.99, 12

This entry pairs a crystal structure of Pu2InPt9 with its computed X-ray diffraction stick pattern. Radiation: Cu Kα. Structure: a DFT-relaxed cell (GGA-PBE, Alexandria).
Kinematic intensities with the Lorentz-polarization factor, no thermal factor.

Crystal structure
```
Pu2InPt9
1.0
4.1211 0.0000 0.0000
0.0000 4.1211 0.0000
0.0000 0.0000 12.3434
Pu In Pt
2 1 9
Direct
0.0000 0.0000 0.1693
0.0000 0.0000 0.8307
0.0000 0.0000 0.5000
0.0000 0.5000 0.0000
0.0000 0.5000 0.3368
0.0000 0.5000 0.6632
0.5000 0.0000 0.0000
0.5000 0.0000 0.3368
0.5000 0.0000 0.6632
0.5000 0.5000 0.1712
0.5000 0.5000 0.5000
0.5000 0.5000 0.8288
```

The 10 most intense peaks (5 to 70 degrees two-theta), in order of falling intensity:
2θ/deg, I/Imax
37.83, 100
43.97, 49
63.93, 33
7.16, 1
22.75, 1
34.02, 1
36.38, 1
14.35, 1
58.33, 1
26.00, 1

This entry pairs a crystal structure of RbIn2Pt2 with its computed X-ray diffraction stick pattern. Radiation: Cu Kα. Structure: a DFT-relaxed cell (GGA-PBE, Alexandria).
Kinematic intensities with the Lorentz-polarization factor, no thermal factor.

Crystal structure
```
RbIn2Pt2
1.0
6.5949 0.0000 0.0000
3.2863 6.2746 0.0000
3.2761 -0.8529 6.5698
Rb In Pt
2 4 4
Direct
0.1261 0.2498 0.2496
0.8739 0.7502 0.7504
0.2258 0.1211 0.7191
0.4335 0.6201 0.2198
0.5665 0.3799 0.7802
0.7742 0.8789 0.2809
0.2297 0.7946 0.9635
0.4885 0.7063 0.5369
0.5115 0.2937 0.4631
0.7703 0.2054 0.0365
```

The 10 most intense peaks (5 to 70 degrees two-theta), in order of falling intensity:
2θ/deg, I/Imax
16.26, 100
30.33, 64
17.01, 62
28.69, 37
38.44, 34
30.69, 34
40.57, 33
36.66, 33
40.11, 32
34.48, 27

This entry pairs a crystal structure of In4RePt with its computed X-ray diffraction stick pattern. Radiation: Cu Kα. Structure: a DFT-relaxed cell (GGA-PBE, Alexandria).
Kinematic intensities with the Lorentz-polarization factor, no thermal factor.

Crystal structure
```
In4RePt
1.0
0.0000 3.9651 3.9651
3.9651 0.0000 3.9651
3.9651 3.9651 0.0000
In Re Pt
4 1 1
Direct
0.1249 0.1249 0.1249
0.1249 0.1249 0.6253
0.1249 0.6253 0.1249
0.6253 0.1249 0.1249
0.5000 0.5000 0.5000
0.7500 0.7500 0.7500
```

The 7 most intense peaks (5 to 70 degrees two-theta), in order of falling intensity:
2θ/deg, I/Imax
37.62, 100
31.92, 44
60.68, 33
66.72, 26
39.36, 26
56.88, 17
19.39, 1

This entry pairs a crystal structure of In2Pt9Rh with its computed X-ray diffraction stick pattern. Radiation: Cu Kα. Structure: a DFT-relaxed cell (GGA-PBE, Alexandria).
Kinematic intensities with the Lorentz-polarization factor, no thermal factor.

Crystal structure
```
In2Pt9Rh
1.0
4.0117 0.0000 0.0000
0.0000 4.0117 0.0000
0.0000 0.0000 12.0620
In Pt Rh
2 9 1
Direct
0.0000 0.0000 0.1691
0.0000 0.0000 0.8309
0.0000 0.5000 0.0000
0.0000 0.5000 0.3393
0.0000 0.5000 0.6607
0.5000 0.0000 0.0000
0.5000 0.0000 0.3393
0.5000 0.0000 0.6607
0.5000 0.5000 0.1697
0.5000 0.5000 0.5000
0.5000 0.5000 0.8303
0.0000 0.0000 0.5000
```

The 8 most intense peaks (5 to 70 degrees two-theta), in order of falling intensity:
2θ/deg, I/Imax
38.85, 100
45.20, 33
65.79, 32
45.10, 16
22.14, 4
31.51, 3
50.86, 2
56.12, 1

This entry pairs a crystal structure of InPt2Rh2 with its computed X-ray diffraction stick pattern. Radiation: Cu Kα. Structure: a DFT-relaxed cell (GGA-PBE, Alexandria).
Kinematic intensities with the Lorentz-polarization factor, no thermal factor.

Crystal structure
```
InPt2Rh2
1.0
6.9376 0.0000 0.0000
0.0000 6.9376 0.0000
0.0000 0.0000 3.5336
In Pt Rh
2 4 4
Direct
0.0000 0.0000 0.0000
0.5000 0.5000 0.0000
0.1581 0.3419 0.5000
0.3419 0.8419 0.5000
0.6581 0.1581 0.5000
0.8419 0.6581 0.5000
0.1334 0.6334 0.0000
0.3666 0.1334 0.0000
0.6334 0.8666 0.0000
0.8666 0.3666 0.0000
```

The 10 most intense peaks (5 to 70 degrees two-theta), in order of falling intensity:
2θ/deg, I/Imax
38.62, 100
41.15, 40
36.29, 18
68.14, 18
51.74, 13
28.77, 10
60.99, 10
31.19, 8
62.60, 8
18.08, 7

This entry pairs a crystal structure of InPt6Rh5 with its computed X-ray diffraction stick pattern. Radiation: Cu Kα. Structure: a DFT-relaxed cell (GGA-PBE, Alexandria).
Kinematic intensities with the Lorentz-polarization factor, no thermal factor.

Crystal structure
```
InPt6Rh5
1.0
1.9704 -5.8988 0.0000
1.9704 5.8988 0.0000
0.0000 0.0000 7.9329
In Pt Rh
1 6 5
Direct
0.0000 0.0000 0.0000
0.1686 0.8314 0.2524
0.1686 0.8314 0.7476
0.5000 0.5000 0.2591
0.5000 0.5000 0.7409
0.8314 0.1686 0.2524
0.8314 0.1686 0.7476
0.0000 0.0000 0.5000
0.3318 0.6682 0.0000
0.3345 0.6655 0.5000
0.6655 0.3345 0.5000
0.6682 0.3318 0.0000
```

The 10 most intense peaks (5 to 70 degrees two-theta), in order of falling intensity:
2θ/deg, I/Imax
39.55, 100
66.98, 21
45.75, 16
46.07, 16
46.17, 16
67.27, 11
22.41, 8
32.16, 7
51.86, 4
57.02, 3

This entry pairs a crystal structure of In4PtRh3 with its computed X-ray diffraction stick pattern. Radiation: Cu Kα. Structure: a DFT-relaxed cell (GGA-PBE, Alexandria).
Kinematic intensities with the Lorentz-polarization factor, no thermal factor.

Crystal structure
```
In4PtRh3
1.0
-2.3484 2.3484 6.2532
2.3484 -2.3484 6.2532
2.3484 2.3484 -6.2532
In Pt Rh
4 1 3
Direct
0.1260 0.6260 0.5000
0.3740 0.8740 0.5000
0.6260 0.1260 0.5000
0.8740 0.3740 0.5000
0.0000 0.0000 0.0000
0.2514 0.2514 0.0000
0.5000 0.5000 0.0000
0.7486 0.7486 0.0000
```

The 10 most intense peaks (5 to 70 degrees two-theta), in order of falling intensity:
2θ/deg, I/Imax
39.59, 100
38.33, 55
55.32, 19
59.09, 8
20.20, 4
28.63, 2
14.16, 2
30.48, 2
43.70, 1
48.53, 1

This entry pairs a crystal structure of Sc5In2PtRh2 with its computed X-ray diffraction stick pattern. Radiation: Cu Kα. Structure: a DFT-relaxed cell (GGA-PBE, Alexandria).
Kinematic intensities with the Lorentz-polarization factor, no thermal factor.

Crystal structure
```
Sc5In2PtRh2
1.0
11.0480 0.0000 0.0000
0.0000 11.0480 0.0000
0.0000 0.0000 3.3481
Sc In Pt Rh
10 4 2 4
Direct
0.0000 0.5000 0.0000
0.0717 0.1951 0.0000
0.1951 0.9283 0.0000
0.3049 0.4283 0.0000
0.4283 0.6951 0.0000
0.5000 0.0000 0.0000
0.5717 0.3049 0.0000
0.6951 0.5717 0.0000
0.8049 0.0717 0.0000
0.9283 0.8049 0.0000
0.1716 0.6716 0.5000
0.3284 0.1716 0.5000
0.6716 0.8284 0.5000
0.8284 0.3284 0.5000
0.0000 0.0000 0.5000
0.5000 0.5000 0.5000
0.1346 0.3654 0.5000
0.3654 0.8654 0.5000
0.6346 0.1346 0.5000
0.8654 0.6346 0.5000
```

The 10 most intense peaks (5 to 70 degrees two-theta), in order of falling intensity:
2θ/deg, I/Imax
37.19, 100
25.50, 46
36.37, 22
35.31, 20
26.62, 18
33.44, 18
22.77, 16
39.88, 15
57.09, 12
49.49, 11

This entry pairs a crystal structure of TbInPtRh with its computed X-ray diffraction stick pattern. Radiation: Cu Kα. Structure: a DFT-relaxed cell (GGA-PBE, Alexandria).
Kinematic intensities with the Lorentz-polarization factor, no thermal factor.

Crystal structure
```
TbInPtRh
1.0
-2.2497 2.2497 3.7551
2.2497 -2.2497 3.7551
2.2497 2.2497 -3.7551
Tb In Pt Rh
1 1 1 1
Direct
0.0000 0.0000 0.0000
0.5000 0.5000 0.0000
0.7500 0.2500 0.5000
0.2500 0.7500 0.5000
```

The 10 most intense peaks (5 to 70 degrees two-theta), in order of falling intensity:
2θ/deg, I/Imax
37.03, 100
40.08, 40
64.66, 19
57.97, 14
48.48, 12
23.04, 9
46.74, 3
41.27, 2
58.88, 2
63.22, 1

This entry pairs a crystal structure of TmInPtRh with its computed X-ray diffraction stick pattern. Radiation: Cu Kα. Structure: a DFT-relaxed cell (GGA-PBE, Alexandria).
Kinematic intensities with the Lorentz-polarization factor, no thermal factor.

Crystal structure
```
TmInPtRh
1.0
0.0000 3.3365 3.3365
3.3365 0.0000 3.3365
3.3365 3.3365 0.0000
Tm In Pt Rh
1 1 1 1
Direct
0.0000 0.0000 0.0000
0.5000 0.5000 0.5000
0.7500 0.7500 0.7500
0.2500 0.2500 0.2500
```

The 6 most intense peaks (5 to 70 degrees two-theta), in order of falling intensity:
2θ/deg, I/Imax
38.14, 100
68.94, 35
55.05, 17
23.09, 7
45.06, 4
60.47, 2

This entry pairs a crystal structure of In2TePtS with its computed X-ray diffraction stick pattern. Radiation: Cu Kα. Structure: a DFT-relaxed cell (GGA-PBE, Alexandria).
Kinematic intensities with the Lorentz-polarization factor, no thermal factor.

Crystal structure
```
In2TePtS
1.0
5.0784 0.0000 0.0000
0.0000 5.0784 0.0000
0.0000 0.0000 5.7042
In Te Pt S
2 1 1 1
Direct
0.0000 0.5000 0.0000
0.5000 0.0000 0.0000
0.0000 0.0000 0.6207
0.0000 0.0000 0.1785
0.5000 0.5000 0.8294
```

The 10 most intense peaks (5 to 70 degrees two-theta), in order of falling intensity:
2θ/deg, I/Imax
17.46, 100
35.35, 76
40.39, 60
15.53, 53
36.12, 42
29.39, 40
51.43, 31
66.86, 27
50.85, 27
39.69, 26

This entry pairs a crystal structure of In4SbPt with its computed X-ray diffraction stick pattern. Radiation: Cu Kα. Structure: a DFT-relaxed cell (GGA-PBE, Alexandria).
Kinematic intensities with the Lorentz-polarization factor, no thermal factor.

Crystal structure
```
In4SbPt
1.0
0.0000 4.2409 4.2409
4.2409 0.0000 4.2409
4.2409 4.2409 0.0000
In Sb Pt
4 1 1
Direct
0.1245 0.1245 0.1245
0.1245 0.1245 0.6265
0.1245 0.6265 0.1245
0.6265 0.1245 0.1245
0.5000 0.5000 0.5000
0.7500 0.7500 0.7500
```

The 10 most intense peaks (5 to 70 degrees two-theta), in order of falling intensity:
2θ/deg, I/Imax
35.09, 100
29.79, 36
56.37, 33
36.70, 32
61.88, 27
52.88, 14
18.12, 2
20.95, 2
42.64, 2
47.97, 1